Entry 1:
For In4GaAu5, a DFT-relaxed cell (PBE, Alexandria) gives the calculated powder XRD pattern in this record (a wavelength of 1.5418 Å).

Cell lengths 5.5773, 6.4482, 6.5880 Å; angles 90.15, 102.46, 111.05 degrees
Positions (direct):
In1 0.0000 0.0000 0.0000
In2 0.0971 0.8065 0.5391
In3 0.4105 0.6672 0.1721
In4 0.5200 0.4985 0.7268
Ga1 0.5534 0.2206 0.3219
Au1 0.1062 0.2524 0.3846
Au2 0.5001 0.0660 0.9280
Au3 0.6616 0.9320 0.5722
Au4 0.8540 0.5481 0.1383
Au5 0.9942 0.4029 0.7664

Main lines, in order of rising 2θ (2θ from 10° to 90°):
Position (°2θ)  Rel. int.
24.65  25
31.83  82
32.44  24
32.84  100
32.98  49
38.66  44
40.25  31
41.28  30
41.79  24
43.70  58


Entry 2:
For PmErAlHg, a DFT-relaxed cell (PBE, Alexandria) gives the calculated powder XRD pattern in this record (a wavelength of 1.5418 Å).

Cell lengths 3.6181, 3.6181, 7.6985 Å; angles 90.00, 90.00, 90.00 degrees
Positions (direct):
Pm1 0.0000 0.0000 0.0000
Er1 0.0000 0.0000 0.5212
Al1 0.5000 0.5000 0.7519
Hg1 0.5000 0.5000 0.2829

Main lines, in order of rising 2θ (2θ from 10° to 90°):
Position (°2θ)  Rel. int.
11.49  26
27.23  23
34.01  100
35.08  47
47.23  9
50.42  23
60.16  18
62.24  35
71.58  12
84.71  9


Entry 3:
For LiHoSn3, a DFT-relaxed cell (PBE, Alexandria) gives the calculated powder XRD pattern in this record (a wavelength of 1.5418 Å).

Cell lengths 12.9616, 6.1382, 6.1677 Å; angles 90.00, 90.00, 90.00 degrees
Positions (direct):
Li1 0.1086 0.2500 0.0000
Li2 0.1086 0.2500 0.5000
Li3 0.8914 0.7500 0.0000
Li4 0.8914 0.7500 0.5000
Ho1 0.3108 0.0043 0.2500
Ho2 0.3108 0.4957 0.7500
Ho3 0.6892 0.5043 0.2500
Ho4 0.6892 0.9957 0.7500
Sn1 0.0824 0.6806 0.7500
Sn2 0.0824 0.8194 0.2500
Sn3 0.2661 0.0004 0.7500
Sn4 0.2661 0.4996 0.2500
Sn5 0.4972 0.7500 0.0000
Sn6 0.4972 0.7500 0.5000
Sn7 0.5028 0.2500 0.0000
Sn8 0.5028 0.2500 0.5000
Sn9 0.7339 0.9996 0.2500
Sn10 0.7339 0.5004 0.7500
Sn11 0.9176 0.1806 0.7500
Sn12 0.9176 0.3194 0.2500

Main lines, in order of rising 2θ (2θ from 10° to 90°):
Position (°2θ)  Rel. int.
28.95  32
32.14  56
32.27  100
34.57  78
35.77  46
35.89  45
41.51  35
42.12  41
50.53  27
70.03  26


Entry 4:
For Pm3AlAg4S8, a DFT-relaxed cell (PBE, Alexandria) gives the calculated powder XRD pattern in this record (a wavelength of 1.5418 Å).

Cell lengths 8.2379, 8.2379, 9.3611 Å; angles 122.74, 122.74, 59.11 degrees
Positions (direct):
Pm1 0.0000 0.0000 0.0000
Pm2 0.0000 0.5000 0.0000
Pm3 0.5000 0.0000 0.0000
Al1 0.5000 0.5000 0.0000
Ag1 0.0000 0.0000 0.5000
Ag2 0.0000 0.5000 0.5000
Ag3 0.5000 0.0000 0.5000
Ag4 0.5000 0.5000 0.5000
S1 0.0847 0.0847 0.8070
S2 0.1309 0.5699 0.8176
S3 0.4247 0.4247 0.1897
S4 0.4301 0.8691 0.1824
S5 0.5699 0.1309 0.8176
S6 0.5753 0.5753 0.8103
S7 0.8691 0.4301 0.1824
S8 0.9153 0.9153 0.1930

Main lines, in order of rising 2θ (2θ from 10° to 90°):
Position (°2θ)  Rel. int.
24.28  32
25.27  48
27.09  100
29.11  35
31.90  19
38.50  23
43.12  27
44.32  31
47.14  26
51.93  26


Entry 5:
For Tb2Pr2HoSc, a DFT-relaxed cell (PBE, Alexandria) gives the calculated powder XRD pattern in this record (a wavelength of 1.5418 Å).

Cell lengths 6.9192, 5.6282, 9.7532 Å; angles 90.00, 90.00, 90.00 degrees
Positions (direct):
Tb1 0.2500 0.0000 0.1661
Tb2 0.2500 0.5000 0.6662
Tb3 0.7500 0.0000 0.8339
Tb4 0.7500 0.5000 0.3338
Pr1 0.0000 0.0000 0.5000
Pr2 0.2500 0.5000 0.3138
Pr3 0.5000 0.0000 0.5000
Pr4 0.7500 0.5000 0.6862
Ho1 0.2500 0.0000 0.8472
Ho2 0.7500 0.0000 0.1528
Sc1 0.0000 0.5000 0.0000
Sc2 0.5000 0.5000 0.0000

Main lines, in order of rising 2θ (2θ from 10° to 90°):
Position (°2θ)  Rel. int.
25.75  9
31.76  100
41.35  16
45.52  16
56.61  26
63.08  16
66.43  6
75.49  7
81.22  7
89.85  6


Entry 6:
For RbNaPuI6, a DFT-relaxed cell (PBE, Alexandria) gives the calculated powder XRD pattern in this record (a wavelength of 1.5418 Å).

Cell lengths 8.1328, 8.1328, 15.9745 Å; angles 90.00, 90.00, 120.00 degrees
Positions (direct):
Rb1 0.0000 0.0000 0.0000
Rb2 0.0000 0.0000 0.5000
Na1 0.3333 0.6667 0.2500
Na2 0.6667 0.3333 0.7500
Pu1 0.3333 0.6667 0.7500
Pu2 0.6667 0.3333 0.2500
I1 0.0221 0.3776 0.6396
I2 0.0221 0.6445 0.8604
I3 0.3555 0.3776 0.8604
I4 0.3555 0.9779 0.6396
I5 0.3776 0.0221 0.1396
I6 0.3776 0.3555 0.3604
I7 0.6224 0.6445 0.6396
I8 0.6224 0.9779 0.8604
I9 0.6445 0.0221 0.3604
I10 0.6445 0.6224 0.1396
I11 0.9779 0.3555 0.1396
I12 0.9779 0.6224 0.3604

Main lines, in order of rising 2θ (2θ from 10° to 90°):
Position (°2θ)  Rel. int.
11.08  25
13.74  49
16.78  34
24.57  100
31.40  71
35.55  18
38.34  39
40.50  28
50.36  16
60.91  14


Repeat the first record exactly.
For In4GaAu5, a DFT-relaxed cell (PBE, Alexandria) gives the calculated powder XRD pattern in this record (a wavelength of 1.5418 Å).

Cell lengths 5.5773, 6.4482, 6.5880 Å; angles 90.15, 102.46, 111.05 degrees
Positions (direct):
In1 0.0000 0.0000 0.0000
In2 0.0971 0.8065 0.5391
In3 0.4105 0.6672 0.1721
In4 0.5200 0.4985 0.7268
Ga1 0.5534 0.2206 0.3219
Au1 0.1062 0.2524 0.3846
Au2 0.5001 0.0660 0.9280
Au3 0.6616 0.9320 0.5722
Au4 0.8540 0.5481 0.1383
Au5 0.9942 0.4029 0.7664

Main lines, in order of rising 2θ (2θ from 10° to 90°):
Position (°2θ)  Rel. int.
24.65  25
31.83  82
32.44  24
32.84  100
32.98  49
38.66  44
40.25  31
41.28  30
41.79  24
43.70  58